(1)
For Li2V3SnO8, a crystal structure in the Materials Project, relaxed with GGA+U gives the theoretical powder diffractogram in this record (Cu Kα).
Peak positions follow from Bragg's law for the DFT cell and can differ from measured ones.

Structure:
Lattice parameters (Å, degrees): 8.5656 8.6002 8.6586 90.00 90.00 90.00
Fractional coordinates of all 56 atoms:
Li1 0.0042 0.0048 0.0051
Li2 0.2451 0.2470 0.2453
Li3 0.2549 0.7530 0.7453
Li4 0.4958 0.9952 0.5051
Li5 0.5042 0.4952 0.9949
Li6 0.7451 0.2530 0.7547
Li7 0.7549 0.7470 0.2547
Li8 0.9958 0.5048 0.4949
V1 0.1142 0.1311 0.6244
V2 0.1268 0.3833 0.8673
V3 0.1336 0.6261 0.1173
V4 0.3664 0.3739 0.6173
V5 0.3732 0.6167 0.3673
V6 0.3858 0.8689 0.1244
V7 0.6142 0.3689 0.3756
V8 0.6268 0.1167 0.1327
V9 0.6336 0.8739 0.8827
V10 0.8664 0.1261 0.3827
V11 0.8732 0.8833 0.6327
V12 0.8858 0.6311 0.8756
Sn1 0.1250 0.8737 0.3757
Sn2 0.3750 0.1263 0.8757
Sn3 0.6250 0.6263 0.6243
Sn4 0.8750 0.3737 0.1243
O1 0.0952 0.1192 0.3816
O2 0.1176 0.8977 0.6165
O3 0.1193 0.6201 0.8865
O4 0.1207 0.3907 0.1027
O5 0.1310 0.6312 0.3508
O6 0.1319 0.1469 0.8650
O7 0.1430 0.8580 0.1312
O8 0.1444 0.3704 0.6297
O9 0.3556 0.6296 0.1297
O10 0.3570 0.1420 0.6312
O11 0.3681 0.8531 0.3650
O12 0.3690 0.3688 0.8508
O13 0.3793 0.6093 0.6027
O14 0.3807 0.3799 0.3865
O15 0.3824 0.1023 0.1165
O16 0.4048 0.8808 0.8816
O17 0.5952 0.3808 0.6184
O18 0.6176 0.6023 0.3835
O19 0.6193 0.8799 0.1135
O20 0.6207 0.1093 0.8973
O21 0.6310 0.8688 0.6492
O22 0.6319 0.3531 0.1350
O23 0.6430 0.6420 0.8688
O24 0.6444 0.1296 0.3703
O25 0.8556 0.8704 0.8703
O26 0.8570 0.3580 0.3688
O27 0.8681 0.6469 0.6350
O28 0.8690 0.1312 0.1492
O29 0.8793 0.8907 0.3973
O30 0.8807 0.1201 0.6135
O31 0.8824 0.3977 0.8835
O32 0.9048 0.6192 0.1184

Top 10 peaks for 2θ = 10–90°, most intense first:
| 2θ (°) | Rel. int. |
| --- | --- |
| 17.8 | 100 |
| 41.7 | 19 |
| 42.0 | 18 |
| 42.2 | 18 |
| 34.4 | 17 |
| 34.6 | 17 |
| 34.7 | 17 |
| 36.1 | 16 |
| 60.7 | 12 |
| 60.8 | 11 |

(2)
For Li3FeNi4O8, a crystal structure in the Materials Project, relaxed with GGA+U gives the theoretical powder diffractogram in this record (Cu Kα).
Peak positions follow from Bragg's law for the DFT cell and can differ from measured ones.

Structure:
Lattice parameters (Å, degrees): 5.8747 5.8747 5.8696 119.41 119.41 59.78
Fractional coordinates of all 16 atoms:
Li1 0.0000 0.0000 0.0000
Li2 0.0000 0.5000 0.0000
Li3 0.5000 0.0000 0.0000
Fe1 0.5000 0.5000 0.5000
Ni1 0.0000 0.0000 0.5000
Ni2 0.0000 0.5000 0.5000
Ni3 0.5000 0.0000 0.5000
Ni4 0.5000 0.5000 0.0000
O1 0.2490 0.2490 0.7245
O2 0.2557 0.7432 0.2551
O3 0.2568 0.7443 0.7449
O4 0.2593 0.2593 0.2793
O5 0.7407 0.7407 0.7207
O6 0.7432 0.2557 0.2551
O7 0.7443 0.2568 0.7449
O8 0.7510 0.7510 0.2755

Top 10 peaks for 2θ = 10–90°, most intense first:
| 2θ (°) | Rel. int. |
| --- | --- |
| 43.7 | 100 |
| 18.3 | 84 |
| 43.1 | 53 |
| 63.4 | 42 |
| 37.5 | 32 |
| 62.7 | 29 |
| 18.5 | 27 |
| 36.0 | 25 |
| 37.2 | 17 |
| 35.7 | 16 |

(3)
For LiVSO4F3, a crystal structure in the Materials Project, relaxed with GGA+U gives the theoretical powder diffractogram in this record (Cu Kα).
Peak positions follow from Bragg's law for the DFT cell and can differ from measured ones.

Structure:
Lattice parameters (Å, degrees): 7.0715 10.3380 8.0570 90.00 90.56 90.00
Fractional coordinates of all 40 atoms:
Li1 0.0000 0.0213 0.0000
Li2 0.0000 0.9787 0.5000
Li3 0.8673 0.4772 0.9936
Li4 0.8673 0.5228 0.4936
V1 0.1920 0.2565 0.5656
V2 0.1920 0.7435 0.0656
V3 0.6915 0.2431 0.5652
V4 0.6915 0.7569 0.0652
S1 0.4469 0.2513 0.8919
S2 0.4469 0.7487 0.3919
S3 0.9387 0.2510 0.2341
S4 0.9387 0.7490 0.7341
O1 0.0114 0.3570 0.1345
O2 0.0114 0.6430 0.6345
O3 0.0925 0.1932 0.3468
O4 0.0925 0.8068 0.8468
O5 0.2949 0.3124 0.7741
O6 0.2949 0.6876 0.2741
O7 0.3559 0.1515 0.9860
O8 0.3559 0.8485 0.4860
O9 0.5453 0.3542 0.9782
O10 0.5453 0.6458 0.4782
O11 0.5924 0.1871 0.7725
O12 0.5924 0.8129 0.2725
O13 0.7901 0.3101 0.3490
O14 0.7901 0.6899 0.8490
O15 0.8615 0.1436 0.1383
O16 0.8615 0.8564 0.6383
F1 0.1350 0.4183 0.4952
F2 0.1350 0.5817 0.9952
F3 0.1902 0.0834 0.6205
F4 0.1902 0.9166 0.1205
F5 0.4410 0.2513 0.4667
F6 0.4410 0.7487 0.9667
F7 0.6972 0.4148 0.6257
F8 0.6972 0.5852 0.1257
F9 0.7464 0.0820 0.4903
F10 0.7464 0.9180 0.9903
F11 0.9430 0.2474 0.6733
F12 0.9430 0.7526 0.1733

Top 10 peaks for 2θ = 10–90°, most intense first:
| 2θ (°) | Rel. int. |
| --- | --- |
| 17.2 | 100 |
| 13.9 | 62 |
| 18.7 | 32 |
| 18.8 | 28 |
| 29.0 | 28 |
| 28.8 | 25 |
| 22.1 | 13 |
| 30.9 | 12 |
| 45.3 | 10 |
| 30.8 | 10 |

(4)
For LiVSiCO7, a crystal structure in the Materials Project, relaxed with GGA+U gives the theoretical powder diffractogram in this record (Cu Kα).
Peak positions follow from Bragg's law for the DFT cell and can differ from measured ones.

Structure:
Lattice parameters (Å, degrees): 5.3327 6.3817 8.6819 90.00 95.93 90.00
Fractional coordinates of all 22 atoms:
Li1 0.2211 0.0000 0.3107
Li2 0.7789 0.5000 0.6893
V1 0.1954 0.2789 0.8391
V2 0.8046 0.7789 0.1609
Si1 0.2632 0.7822 0.9351
Si2 0.7368 0.2822 0.0649
C1 0.2773 0.2830 0.5658
C2 0.7227 0.7830 0.4342
O1 0.0504 0.2848 0.6191
O2 0.1175 0.7925 0.0934
O3 0.1748 0.5808 0.8319
O4 0.1995 0.9949 0.8331
O5 0.3151 0.2486 0.4300
O6 0.4328 0.2857 0.0033
O7 0.4540 0.3119 0.6829
O8 0.5460 0.8119 0.3171
O9 0.5672 0.7857 0.9967
O10 0.6849 0.7486 0.5700
O11 0.8005 0.4949 0.1669
O12 0.8252 0.0808 0.1681
O13 0.8825 0.2925 0.9066
O14 0.9496 0.7848 0.3809

Top 10 peaks for 2θ = 10–90°, most intense first:
| 2θ (°) | Rel. int. |
| --- | --- |
| 10.2 | 100 |
| 17.3 | 73 |
| 28.0 | 70 |
| 20.5 | 50 |
| 25.2 | 40 |
| 18.7 | 35 |
| 24.9 | 28 |
| 33.8 | 23 |
| 21.8 | 22 |
| 39.7 | 14 |